(1)
The following is a computed powder XRD pattern of Ta3SeI7. It was derived from a DFT-relaxed cell (PBE, Alexandria), using CuKα.
Lines closer than 0.1° are merged.

Principal peaks in the range 10° ≤ 2θ ≤ 90°, low angle first:
2θ 12.07, I = 1000
2θ 13.39, I = 188
2θ 18.06, I = 184
2θ 27.65, I = 191
2θ 29.63, I = 859
2θ 32.69, I = 702
2θ 36.60, I = 175
2θ 41.14, I = 385
2θ 46.19, I = 251
2θ 47.62, I = 332

Cell and atoms:
```
22
Lattice="7.6382 0.0000 0.0000 -3.8191 6.6149 0.0000 0.0000 0.0000 14.6593" Properties=species:S:1:pos:R:3 pbc="T T T"
Ta 0.0000 1.7170 0.0000
Ta -2.3321 5.7564 0.0000
Ta 1.4870 0.8585 7.3297
Ta 2.3321 5.7564 0.0000
Ta 6.1512 0.8585 7.3297
Ta 3.8191 4.8979 7.3297
Se 0.0000 0.0000 1.8919
Se 0.0000 0.0000 9.2216
I -1.8842 3.3221 8.8717
I 0.0000 2.2228 5.4560
I -1.8941 5.5035 5.4560
I 0.0000 4.4099 13.2276
I 1.9250 1.1114 12.7857
I 1.8842 3.3221 8.8717
I 0.0000 6.5856 8.8717
I 3.8191 0.0293 1.5421
I 1.9349 3.2928 1.5421
I 1.8941 5.5035 5.4560
I 3.8191 2.2050 5.8980
I 5.7132 1.1114 12.7857
I 3.8191 4.3921 12.7857
I 5.7033 3.2928 1.5421
```


(2)
The following is a computed powder XRD pattern of Ta2Se8I. It was derived from a DFT-relaxed cell (PBE, Alexandria), using CuKα.
Lines closer than 0.1° are merged.

Principal peaks in the range 10° ≤ 2θ ≤ 90°, low angle first:
2θ 12.81, I = 1000
2θ 18.16, I = 413
2θ 21.46, I = 170
2θ 29.04, I = 189
2θ 32.08, I = 265
2θ 33.14, I = 175
2θ 38.04, I = 241
2θ 40.30, I = 698
2θ 41.33, I = 261
2θ 74.66, I = 152

Cell and atoms:
```
22
Lattice="-4.8851 4.8851 6.4917 4.8851 -4.8851 6.4917 4.8851 4.8851 -6.4917" Properties=species:S:1:pos:R:3 pbc="T T T"
Ta 4.8851 0.0000 0.0000
Ta 4.8851 0.0000 3.2459
Ta 0.0000 4.8851 0.0000
Ta 0.0000 4.8851 3.2459
Se 6.6951 -1.1568 1.5566
Se 4.4454 2.0584 -1.6908
Se 6.0419 -1.8100 4.9351
Se 3.0751 1.1568 1.5566
Se 2.8267 -0.4397 4.8009
Se 5.3248 2.0584 1.6908
Se 2.0584 5.3248 -1.6908
Se -1.1568 3.0751 1.5566
Se 3.7283 1.8100 4.9351
Se 2.0584 4.4454 1.6908
Se 0.4397 2.8267 4.8009
Se 2.8267 0.4397 8.1825
Se -1.8100 3.7283 4.9351
Se 1.1568 6.6951 1.5566
Se -0.4397 2.8267 8.1825
Se 1.8100 6.0419 4.9351
I 0.0000 0.0000 2.0028
I 0.0000 0.0000 10.9807
```